(1)
For Mo3WSe2S6, the GGA-PBE geometry in the Materials Project gives the theoretical powder diffraction line list in this record (CuKα).

Crystal structure
```
Mo3WSe2S6
1.0
3.221 0.000 0.000
-1.611 2.790 0.000
0.000 0.000 36.360
Mo W Se S
3 1 2 6
Cartesian
0.000 0.000 0.000
0.000 0.000 13.661
0.000 1.860 6.830
0.000 1.860 20.494
0.000 1.860 11.952
0.000 1.860 15.371
0.000 0.000 5.277
0.000 0.000 8.384
0.000 0.000 18.934
0.000 0.000 22.054
0.000 1.860 1.554
0.000 1.860 34.805
```

Most intense lines, 10 to 90 degrees two-theta, in order of rising 2θ:
| 2θ (°) | I (rel.) |
| --- | --- |
| 12.2 | 100 |
| 14.6 | 18 |
| 32.1 | 26 |
| 32.2 | 11 |
| 34.4 | 14 |
| 37.8 | 59 |
| 45.9 | 35 |
| 47.9 | 12 |
| 57.2 | 20 |
| 58.7 | 10 |
| 70.6 | 9 |
| 81.6 | 9 |

(2)
For KGePCO7, the GGA-PBE geometry in the Materials Project gives the theoretical powder diffraction line list in this record (CuKα).

Crystal structure
```
KGePCO7
1.0
5.130 0.000 0.000
0.000 6.241 0.000
-0.401 0.000 10.428
K Ge P C O
2 2 2 2 14
Cartesian
1.084 0.000 3.125
3.644 3.121 7.304
0.784 0.513 8.962
3.945 3.633 1.466
1.021 3.657 9.866
3.708 0.536 0.562
1.255 0.727 6.659
3.473 3.848 3.769
0.030 0.589 7.199
0.533 3.668 0.689
0.740 2.454 8.944
0.769 4.855 8.919
1.493 0.951 5.471
2.206 0.514 0.132
2.181 0.633 7.637
2.547 3.754 2.791
2.522 3.635 10.296
3.235 4.072 4.958
3.959 1.735 1.510
3.988 5.574 1.484
4.196 0.547 9.739
4.698 3.710 3.230
```

Most intense lines, 10 to 90 degrees two-theta, in order of rising 2θ:
| 2θ (°) | I (rel.) |
| --- | --- |
| 16.6 | 53 |
| 19.0 | 18 |
| 19.6 | 33 |
| 22.4 | 65 |
| 23.9 | 62 |
| 24.8 | 27 |
| 28.6 | 100 |
| 30.5 | 20 |
| 34.9 | 19 |
| 35.0 | 23 |
| 44.4 | 16 |
| 54.8 | 15 |

(3)
For Cs2LiSbF6, the GGA-PBE geometry in the Materials Project gives the theoretical powder diffraction line list in this record (CuKα).

Crystal structure
```
Cs2LiSbF6
1.0
0.000 4.505 4.505
4.505 0.000 4.505
4.505 4.505 0.000
Cs Li Sb F
2 1 1 6
Cartesian
2.252 2.252 2.252
6.757 6.757 6.757
0.000 0.000 0.000
4.505 4.505 4.505
4.505 4.505 2.268
4.505 2.268 4.505
6.742 4.505 4.505
2.268 4.505 4.505
4.505 6.742 4.505
4.505 4.505 6.742
```

Most intense lines, 10 to 90 degrees two-theta, in order of rising 2θ:
| 2θ (°) | I (rel.) |
| --- | --- |
| 17.0 | 25 |
| 19.7 | 8 |
| 28.0 | 100 |
| 33.0 | 15 |
| 34.5 | 21 |
| 40.0 | 40 |
| 49.6 | 42 |
| 57.9 | 25 |
| 65.5 | 18 |
| 69.2 | 7 |
| 72.7 | 8 |
| 79.6 | 22 |

(4)
For Eu2Ag2O5, the GGA-PBE geometry in the Materials Project gives the theoretical powder diffraction line list in this record (CuKα).

Crystal structure
```
Eu2Ag2O5
1.0
-7.979 3.008 2.827
7.979 -3.008 2.827
7.979 3.008 -2.827
Eu Ag O
4 4 10
Cartesian
1.852 0.093 0.000
6.127 0.093 0.000
1.852 2.915 2.827
6.127 2.915 2.827
3.990 -0.262 2.903
0.000 0.000 2.671
7.979 0.000 2.671
3.990 3.270 0.076
11.969 0.452 -0.379
2.043 2.373 -0.435
5.936 2.373 -0.435
-0.563 1.573 1.309
8.542 1.573 1.309
2.043 0.636 2.392
5.936 0.636 2.392
-3.990 2.556 2.448
0.563 4.444 1.309
-0.563 1.436 4.136
```

Most intense lines, 10 to 90 degrees two-theta, in order of rising 2θ:
| 2θ (°) | I (rel.) |
| --- | --- |
| 29.7 | 30 |
| 31.2 | 100 |
| 31.7 | 31 |
| 44.0 | 25 |
| 45.5 | 13 |
| 53.7 | 21 |
| 55.3 | 11 |
| 56.1 | 20 |
| 56.5 | 12 |
| 65.1 | 12 |
| 72.8 | 8 |
| 75.1 | 6 |

(5)
For NpTi3, the GGA-PBE geometry in the Materials Project gives the theoretical powder diffraction line list in this record (CuKα).

Crystal structure
```
NpTi3
1.0
4.179 0.000 0.000
0.000 4.179 0.000
0.000 0.000 4.179
Np Ti
1 3
Cartesian
0.000 0.000 0.000
0.000 2.089 2.089
2.089 0.000 2.089
2.089 2.089 0.000
```

Most intense lines, 10 to 90 degrees two-theta, in order of rising 2θ:
| 2θ (°) | I (rel.) |
| --- | --- |
| 21.3 | 72 |
| 30.2 | 62 |
| 37.3 | 100 |
| 43.3 | 49 |
| 48.7 | 36 |
| 53.7 | 27 |
| 62.9 | 31 |
| 67.2 | 18 |
| 71.4 | 12 |
| 75.5 | 37 |
| 79.4 | 11 |
| 87.3 | 15 |

(6)
For HoB2Rh3, the GGA-PBE geometry in the Materials Project gives the theoretical powder diffraction line list in this record (CuKα).

Crystal structure
```
HoB2Rh3
1.0
5.427 0.000 0.000
-2.714 4.700 0.000
0.000 0.000 3.129
Ho B Rh
1 2 3
Cartesian
0.000 0.000 0.000
0.000 3.133 0.000
2.714 1.567 0.000
-1.357 2.350 1.565
2.714 0.000 1.565
1.357 2.350 1.565
```

Most intense lines, 10 to 90 degrees two-theta, in order of rising 2θ:
| 2θ (°) | I (rel.) |
| --- | --- |
| 28.5 | 6 |
| 34.4 | 81 |
| 38.3 | 100 |
| 44.2 | 48 |
| 48.4 | 12 |
| 59.0 | 11 |
| 59.9 | 33 |
| 66.8 | 14 |
| 69.3 | 20 |
| 72.6 | 30 |
| 79.7 | 14 |
| 82.0 | 11 |